Entry 1:
Calculated PXRD pattern
Compound: Nb3Cl5O2
Radiation: copper Kα
Structure: DFT lattice parameters and positions (GGA-PBE)

Largest 10 diffraction maxima, by angle, 2θ from 10° to 80°:
2θ (°)  I (rel.)
11.90  100
12.34  25
14.35  15
16.97  19
21.70  13
24.82  31
35.83  65
36.45  18
44.24  14
58.18  17

Crystal structure
```
data_Nb3Cl5O2
_cell_length_a 8.191
_cell_length_b 14.878
_cell_length_c 6.783
_cell_angle_alpha 90.00
_cell_angle_beta 90.00
_cell_angle_gamma 90.00
_symmetry_space_group_name_H-M 'P n n m'
_symmetry_Int_Tables_number 58
loop_
_symmetry_equiv_pos_as_xyz
'x,y,z'
'-x,-y,-z'
'-x,-y,z'
'x,y,-z'
'x+1/2,-y+1/2,-z+1/2'
'-x+1/2,y+1/2,z+1/2'
'-x+1/2,y+1/2,-z+1/2'
'x+1/2,-y+1/2,z+1/2'
loop_
_atom_site_label
_atom_site_type_symbol
_atom_site_fract_x
_atom_site_fract_y
_atom_site_fract_z
Nb1 Nb 0.026 0.135 0.000
Nb2 Nb 0.238 0.240 0.211
Cl1 Cl 0.000 0.000 0.237
Cl2 Cl 0.175 0.614 0.500
Cl3 Cl 0.205 0.357 0.500
Cl4 Cl 0.207 0.371 0.000
Cl5 Cl 0.227 0.632 0.000
O1 O 0.011 0.774 0.221
```


Entry 2:
Calculated PXRD pattern
Compound: NbCl3O
Radiation: copper Kα
Structure: DFT lattice parameters and positions (GGA-PBE)

Largest 10 diffraction maxima, by angle, 2θ from 10° to 80°:
2θ (°)  I (rel.)
10.55  100
16.72  94
23.49  76
24.68  27
30.15  52
32.75  13
38.57  16
38.72  25
44.42  36
54.63  16

Crystal structure
```
data_NbCl3O
_cell_length_a 11.856
_cell_length_b 11.856
_cell_length_c 3.997
_cell_angle_alpha 90.00
_cell_angle_beta 90.00
_cell_angle_gamma 90.00
_symmetry_space_group_name_H-M 'P -4 21 m'
_symmetry_Int_Tables_number 113
loop_
_symmetry_equiv_pos_as_xyz
'x,y,z'
'y,-x,-z'
'-x,-y,z'
'-y,x,-z'
'x+1/2,-y+1/2,-z'
'y+1/2,x+1/2,z'
'-x+1/2,y+1/2,-z'
'-y+1/2,-x+1/2,z'
loop_
_atom_site_label
_atom_site_type_symbol
_atom_site_fract_x
_atom_site_fract_y
_atom_site_fract_z
Nb1 Nb 0.119 0.381 0.197
Cl1 Cl 0.096 0.190 0.256
Cl2 Cl 0.096 0.596 0.264
O1 O 0.110 0.390 0.748
```